# Nd2PPt3
Simulated powder X-ray diffraction pattern, Cu Kα (weighted mean of Kα1 and Kα2). Input: a DFT-relaxed cell (PBE, Alexandria).

Principal peaks in the range 2θ from 10° to 90°, in order of rising 2θ:
d = 3.932 Å, 2θ 22.61, I = 17, hkl 1 0 0; d = 2.737 Å, 2θ 32.72, I = 42, hkl 1 0 2; d = 2.709 Å, 2θ 33.07, I = 100, hkl 1 1 1; d = 2.186 Å, 2θ 41.30, I = 48, hkl 0 1 3; d = 2.144 Å, 2θ 42.15, I = 27, hkl 0 2 0; d = 1.966 Å, 2θ 46.17, I = 21, hkl 2 0 0; d = 1.688 Å, 2θ 54.36, I = 20, hkl 1 2 2; d = 1.462 Å, 2θ 63.66, I = 27, hkl 2 1 3

Crystal structure
Cell: 3.932 4.288 7.623 Å, 90.00 90.00 90.00°
Space group Pmm2 (No. 25)
Asymmetric unit:
Nd 0.000 0.000 0.000 x1
Nd 0.000 0.500 0.493 x1
P 0.500 0.500 0.813 x1
Pt 0.500 0.000 0.333 x1
Pt 0.500 0.000 0.688 x1
Pt 0.500 0.500 0.122 x1